No. 1
Structure and theoretical powder X-ray diffraction pattern of Li2Mn2OF6 (DFT lattice parameters and positions (GGA+U); a wavelength of 1.5418 Å).
Neutral-atom scattering factors, no anomalous dispersion.

Most intense lines, 2θ = 15–90°, by angle:
- d 5.311, rel. 100.0
- d 4.988, rel. 57.7
- d 4.155, rel. 35.6
- d 3.783, rel. 52.8
- d 3.272, rel. 22.9
- d 3.166, rel. 41.4
- d 2.221, rel. 22.0
- d 2.154, rel. 17.9
- d 2.122, rel. 24.0
- d 1.929, rel. 25.8

Structure:
Cell lengths 5.233, 5.233, 11.115 Å; angles 100.75, 100.75, 101.37 degrees
Fractional coordinates of all 22 atoms:
Li 0.169 0.831 0.500
Li 0.248 0.856 0.093
Li 0.831 0.169 0.000
Li 0.856 0.248 0.593
Mn 0.162 0.824 0.790
Mn 0.321 0.424 0.229
Mn 0.424 0.321 0.729
Mn 0.824 0.162 0.290
O 0.084 0.092 0.205
O 0.092 0.084 0.705
F 0.075 0.956 0.945
F 0.097 0.491 0.084
F 0.101 0.556 0.353
F 0.195 0.592 0.633
F 0.340 0.578 0.866
F 0.491 0.097 0.584
F 0.546 0.767 0.234
F 0.556 0.101 0.853
F 0.578 0.340 0.366
F 0.592 0.195 0.133
F 0.767 0.546 0.734
F 0.956 0.075 0.445


No. 2
Structure and theoretical powder X-ray diffraction pattern of LiMn2O3F (DFT lattice parameters and positions (GGA+U); a wavelength of 1.5418 Å).
Neutral-atom scattering factors, no anomalous dispersion.

Most intense lines, 2θ = 15–90°, by angle:
- d 4.472, rel. 74.1
- d 3.541, rel. 100.0
- d 2.837, rel. 54.2
- d 2.548, rel. 33.2
- d 2.531, rel. 35.3
- d 2.433, rel. 31.1
- d 2.254, rel. 30.8
- d 1.792, rel. 27.6
- d 1.771, rel. 59.1
- d 1.598, rel. 25.2

Structure:
Cell lengths 10.378, 4.956, 5.799 Å; angles 90.00, 90.00, 90.00 degrees
Fractional coordinates of all 28 atoms:
Li 0.086 0.028 0.000
Li 0.414 0.528 0.500
Li 0.586 0.472 0.000
Li 0.914 0.972 0.500
Mn 0.010 0.480 0.251
Mn 0.232 0.954 0.487
Mn 0.268 0.454 0.987
Mn 0.490 0.980 0.751
Mn 0.510 0.020 0.251
Mn 0.732 0.546 0.487
Mn 0.768 0.046 0.987
Mn 0.990 0.520 0.751
O 0.071 0.735 0.494
O 0.098 0.654 0.997
O 0.176 0.218 0.239
O 0.324 0.718 0.739
O 0.402 0.154 0.497
O 0.429 0.235 0.994
O 0.571 0.765 0.494
O 0.598 0.846 0.997
O 0.676 0.282 0.239
O 0.824 0.782 0.739
O 0.902 0.346 0.497
O 0.929 0.265 0.994
F 0.153 0.212 0.742
F 0.347 0.712 0.242
F 0.653 0.288 0.742
F 0.847 0.788 0.242


No. 3
Structure and theoretical powder X-ray diffraction pattern of LiMn2OF3 (DFT lattice parameters and positions (GGA+U); a wavelength of 1.5418 Å).
Neutral-atom scattering factors, no anomalous dispersion.

Most intense lines, 2θ = 15–90°, by angle:
- d 5.167, rel. 47.5
- d 4.473, rel. 32.6
- d 3.164, rel. 29.6
- d 2.697, rel. 100.0
- d 2.236, rel. 53.2
- d 2.052, rel. 20.1
- d 1.826, rel. 12.7
- d 1.722, rel. 35.7
- d 1.581, rel. 56.7
- d 1.512, rel. 12.0

Structure:
Cell lengths 6.328, 6.328, 6.328 Å; angles 59.95, 59.95, 59.95 degrees
Fractional coordinates of all 14 atoms:
Li 0.000 0.000 0.000
Li 0.356 0.356 0.356
Mn 0.355 0.355 0.867
Mn 0.355 0.867 0.355
Mn 0.714 0.714 0.714
Mn 0.867 0.355 0.355
O 0.127 0.127 0.127
O 0.586 0.586 0.586
F 0.118 0.596 0.596
F 0.122 0.122 0.603
F 0.122 0.603 0.122
F 0.596 0.118 0.596
F 0.596 0.596 0.118
F 0.603 0.122 0.122


No. 4
Structure and theoretical powder X-ray diffraction pattern of Li4MnO2F3 (DFT lattice parameters and positions (GGA+U); a wavelength of 1.5418 Å).
Neutral-atom scattering factors, no anomalous dispersion.

Most intense lines, 2θ = 15–90°, by angle:
- d 4.924, rel. 39.5
- d 4.830, rel. 100.0
- d 3.882, rel. 30.9
- d 3.482, rel. 19.1
- d 3.455, rel. 22.7
- d 3.418, rel. 20.1
- d 2.175, rel. 72.1
- d 2.072, rel. 58.6
- d 2.040, rel. 55.7
- d 1.485, rel. 19.5

Structure:
Cell lengths 5.108, 5.252, 7.683 Å; angles 109.52, 103.67, 97.39 degrees
Fractional coordinates of all 20 atoms:
Li 0.000 0.000 0.000
Li 0.005 0.235 0.408
Li 0.490 0.208 0.911
Li 0.495 0.390 0.318
Li 0.500 0.000 0.500
Li 0.505 0.610 0.682
Li 0.510 0.792 0.089
Li 0.995 0.765 0.592
Mn 0.018 0.597 0.201
Mn 0.982 0.403 0.799
O 0.226 0.406 0.040
O 0.242 0.606 0.434
O 0.758 0.394 0.566
O 0.774 0.594 0.960
F 0.237 0.210 0.659
F 0.255 0.014 0.252
F 0.263 0.814 0.850
F 0.737 0.186 0.150
F 0.745 0.986 0.748
F 0.763 0.790 0.341


No. 5
Structure and theoretical powder X-ray diffraction pattern of Li4MnO2F3 (DFT lattice parameters and positions (GGA+U); a wavelength of 1.5418 Å).
Neutral-atom scattering factors, no anomalous dispersion.

Most intense lines, 2θ = 15–90°, by angle:
- d 5.791, rel. 33.9
- d 4.968, rel. 100.0
- d 4.541, rel. 72.0
- d 4.491, rel. 48.4
- d 3.967, rel. 35.8
- d 2.840, rel. 45.6
- d 2.535, rel. 60.4
- d 2.352, rel. 31.3
- d 2.055, rel. 48.7
- d 1.918, rel. 32.4

Structure:
Cell lengths 5.920, 6.022, 6.559 Å; angles 105.56, 92.67, 100.51 degrees
Fractional coordinates of all 20 atoms:
Li 0.000 0.000 0.000
Li 0.000 0.327 0.819
Li 0.000 0.673 0.181
Li 0.277 0.447 0.251
Li 0.367 0.136 0.514
Li 0.500 0.000 0.000
Li 0.633 0.864 0.486
Li 0.723 0.553 0.749
Mn 0.181 0.730 0.644
Mn 0.819 0.270 0.356
O 0.042 0.682 0.885
O 0.293 0.782 0.395
O 0.707 0.218 0.605
O 0.958 0.318 0.115
F 0.164 0.364 0.521
F 0.222 0.086 0.791
F 0.475 0.237 0.231
F 0.525 0.763 0.769
F 0.778 0.914 0.209
F 0.836 0.636 0.479


No. 6
Structure and theoretical powder X-ray diffraction pattern of Li4Mn3O2F6 (DFT lattice parameters and positions (GGA+U); a wavelength of 1.5418 Å).
Neutral-atom scattering factors, no anomalous dispersion.

Most intense lines, 2θ = 15–90°, by angle:
- d 5.847, rel. 36.3
- d 5.328, rel. 24.3
- d 5.004, rel. 100.0
- d 4.686, rel. 25.2
- d 3.938, rel. 27.0
- d 2.664, rel. 29.3
- d 2.561, rel. 29.7
- d 2.287, rel. 64.9
- d 2.199, rel. 65.7
- d 2.100, rel. 58.5

Structure:
Cell lengths 5.421, 5.427, 6.246 Å; angles 69.42, 86.17, 79.36 degrees
Fractional coordinates of all 15 atoms:
Li 0.214 0.480 0.343
Li 0.280 0.521 0.876
Li 0.720 0.479 0.124
Li 0.786 0.520 0.657
Mn 0.000 0.000 0.000
Mn 0.488 0.978 0.243
Mn 0.512 0.022 0.757
O 0.353 0.766 0.061
O 0.647 0.234 0.939
F 0.124 0.263 0.170
F 0.143 0.306 0.686
F 0.433 0.746 0.592
F 0.567 0.254 0.408
F 0.857 0.694 0.314
F 0.876 0.737 0.830


What did the third record say?
Structure and theoretical powder X-ray diffraction pattern of LiMn2OF3 (DFT lattice parameters and positions (GGA+U); a wavelength of 1.5418 Å).
Neutral-atom scattering factors, no anomalous dispersion.

Most intense lines, 2θ = 15–90°, by angle:
- d 5.167, rel. 47.5
- d 4.473, rel. 32.6
- d 3.164, rel. 29.6
- d 2.697, rel. 100.0
- d 2.236, rel. 53.2
- d 2.052, rel. 20.1
- d 1.826, rel. 12.7
- d 1.722, rel. 35.7
- d 1.581, rel. 56.7
- d 1.512, rel. 12.0

Structure:
Cell lengths 6.328, 6.328, 6.328 Å; angles 59.95, 59.95, 59.95 degrees
Fractional coordinates of all 14 atoms:
Li 0.000 0.000 0.000
Li 0.356 0.356 0.356
Mn 0.355 0.355 0.867
Mn 0.355 0.867 0.355
Mn 0.714 0.714 0.714
Mn 0.867 0.355 0.355
O 0.127 0.127 0.127
O 0.586 0.586 0.586
F 0.118 0.596 0.596
F 0.122 0.122 0.603
F 0.122 0.603 0.122
F 0.596 0.118 0.596
F 0.596 0.596 0.118
F 0.603 0.122 0.122